Entry 1:
LiNiBO3: calculated XRD peak list (Cu Kα), based on a cell relaxed with PBE+U.
Peak positions follow from Bragg's law for the DFT cell and can differ from measured ones.

Cell and atoms:
Lattice parameters (Å, degrees): 3.125 14.083 14.086 60.07 89.50 89.30
Space group P1 (No. 1)
Unique sites:
Li 0.000 0.000 0.000 (multiplicity 1)
Li 0.000 0.343 0.627 (multiplicity 1)
Li 0.019 0.010 0.309 (multiplicity 1)
Li 0.027 0.675 0.972 (multiplicity 1)
Li 0.030 0.706 0.316 (multiplicity 1)
Li 0.052 0.337 0.330 (multiplicity 1)
Li 0.953 0.357 0.982 (multiplicity 1)
Li 0.986 0.030 0.646 (multiplicity 1)
Li 0.995 0.654 0.679 (multiplicity 1)
Ni 0.446 0.152 0.075 (multiplicity 1)
Ni 0.458 0.438 0.756 (multiplicity 1)
Ni 0.474 0.806 0.756 (multiplicity 1)
Ni 0.505 0.102 0.422 (multiplicity 1)
Ni 0.510 0.115 0.778 (multiplicity 1)
Ni 0.510 0.784 0.454 (multiplicity 1)
Ni 0.538 0.783 0.087 (multiplicity 1)
Ni 0.552 0.483 0.411 (multiplicity 1)
Ni 0.555 0.450 0.124 (multiplicity 1)
B 0.052 0.577 0.206 (multiplicity 1)
B 0.494 0.906 0.209 (multiplicity 1)
B 0.500 0.901 0.874 (multiplicity 1)
B 0.504 0.237 0.533 (multiplicity 1)
B 0.507 0.235 0.207 (multiplicity 1)
B 0.511 0.560 0.879 (multiplicity 1)
B 0.518 0.568 0.541 (multiplicity 1)
B 0.971 0.233 0.866 (multiplicity 1)
B 0.991 0.893 0.550 (multiplicity 1)
O 0.000 0.803 0.535 (multiplicity 1)
O 0.007 0.997 0.460 (multiplicity 1)
O 0.009 0.143 0.851 (multiplicity 1)
O 0.044 0.682 0.116 (multiplicity 1)
O 0.054 0.488 0.191 (multiplicity 1)
O 0.055 0.562 0.310 (multiplicity 1)
O 0.401 0.001 0.111 (multiplicity 1)
O 0.428 0.138 0.537 (multiplicity 1)
O 0.443 0.283 0.096 (multiplicity 1)
O 0.452 0.463 0.558 (multiplicity 1)
O 0.453 0.657 0.781 (multiplicity 1)
O 0.461 0.981 0.764 (multiplicity 1)
O 0.469 0.461 0.883 (multiplicity 1)
O 0.498 0.931 0.954 (multiplicity 1)
O 0.510 0.122 0.271 (multiplicity 1)
O 0.528 0.910 0.306 (multiplicity 1)
O 0.538 0.239 0.630 (multiplicity 1)
O 0.542 0.334 0.433 (multiplicity 1)
O 0.542 0.792 0.903 (multiplicity 1)
O 0.546 0.807 0.212 (multiplicity 1)
O 0.551 0.584 0.630 (multiplicity 1)
O 0.551 0.655 0.435 (multiplicity 1)
O 0.568 0.298 0.255 (multiplicity 1)
O 0.616 0.564 0.973 (multiplicity 1)
O 0.944 0.218 0.970 (multiplicity 1)
O 0.961 0.337 0.776 (multiplicity 1)
O 0.971 0.879 0.655 (multiplicity 1)

Main lines, by intensity (2θ = 10–90°):
2θ (°), d_spacing, Rel. int., h k l
21.9, 4.067, 100, 0 0 3
28.6, 3.125, 42, 1 0 0
38.3, 2.348, 32, 0 3 6
36.4, 2.465, 23, 1 -3 0
36.1, 2.491, 22, 1 3 3
44.5, 2.035, 17, 0 0 6
33.7, 2.663, 16, 0 4 -1
36.2, 2.482, 12, 1 0 3

---

Entry 2:
LiV2C4O12: calculated XRD peak list (Cu Kα), based on a cell relaxed with PBE+U.
Peak positions follow from Bragg's law for the DFT cell and can differ from measured ones.

Cell and atoms:
Lattice parameters (Å, degrees): 8.642 8.685 6.078 90.00 108.23 90.00
Space group C2 (No. 5)
Unique sites:
Li 0.000 0.000 0.000 (multiplicity 2)
V 0.000 0.208 0.500 (multiplicity 2)
V 0.000 0.597 0.000 (multiplicity 2)
C 0.209 0.305 0.953 (multiplicity 4)
C 0.216 0.494 0.461 (multiplicity 4)
O 0.109 0.197 0.850 (multiplicity 4)
O 0.115 0.592 0.317 (multiplicity 4)
O 0.136 0.779 0.957 (multiplicity 4)
O 0.141 0.038 0.423 (multiplicity 4)
O 0.163 0.445 0.963 (multiplicity 4)
O 0.167 0.359 0.483 (multiplicity 4)

Main lines, by intensity (2θ = 10–90°):
2θ (°), d_spacing, Rel. int., h k l
18.8, 4.719, 100, 1 1 -1
30.4, 2.936, 43, 2 2 -1
31.0, 2.886, 42, 0 0 2
14.8, 5.966, 40, 1 1 0
30.0, 2.983, 30, 2 2 0
23.8, 3.745, 18, 1 1 1
44.7, 2.027, 14, 3 3 -1
33.2, 2.700, 14, 3 1 -1

---

Entry 3:
LiFeP3H8O13: calculated XRD peak list (Cu Kα), based on a cell relaxed with PBE+U.
Peak positions follow from Bragg's law for the DFT cell and can differ from measured ones.

Cell and atoms:
Lattice parameters (Å, degrees): 7.123 7.694 9.965 84.03 74.10 78.35
Space group P-1 (No. 2)
Unique sites:
Li 0.000 0.000 0.000 (multiplicity 1)
Li 0.000 0.500 0.500 (multiplicity 1)
Fe 0.185 0.192 0.238 (multiplicity 2)
P 0.238 0.806 0.478 (multiplicity 2)
P 0.328 0.806 0.743 (multiplicity 2)
P 0.404 0.538 0.269 (multiplicity 2)
H 0.080 0.259 0.795 (multiplicity 2)
H 0.100 0.660 0.084 (multiplicity 2)
H 0.143 0.337 0.991 (multiplicity 2)
H 0.181 0.182 0.570 (multiplicity 2)
H 0.309 0.864 0.104 (multiplicity 2)
H 0.310 0.306 0.601 (multiplicity 2)
H 0.350 0.374 0.997 (multiplicity 2)
H 0.359 0.982 0.968 (multiplicity 2)
O 0.024 0.252 0.898 (multiplicity 2)
O 0.076 0.713 0.565 (multiplicity 2)
O 0.111 0.854 0.814 (multiplicity 2)
O 0.173 0.286 0.620 (multiplicity 2)
O 0.193 0.960 0.381 (multiplicity 2)
O 0.213 0.374 0.055 (multiplicity 2)
O 0.238 0.435 0.326 (multiplicity 2)
O 0.271 0.986 0.063 (multiplicity 2)
O 0.363 0.860 0.576 (multiplicity 2)
O 0.382 0.590 0.746 (multiplicity 2)
O 0.413 0.652 0.136 (multiplicity 2)
O 0.416 0.655 0.393 (multiplicity 2)
O 0.478 0.878 0.791 (multiplicity 2)

Main lines, by intensity (2θ = 10–90°):
2θ (°), d_spacing, Rel. int., h k l
28.2, 3.161, 100, 2 1 2
15.3, 5.773, 97, 0 1 -1
14.6, 6.070, 91, 0 1 1
27.0, 3.306, 90, 2 1 0
31.0, 2.884, 85, 0 1 -3
25.9, 3.442, 67, 0 2 -1
16.0, 5.544, 55, 1 1 0
18.5, 4.786, 52, 0 0 2

---

Entry 4:
CrO3: calculated XRD peak list (Cu Kα), based on a cell relaxed with PBE+U.
Peak positions follow from Bragg's law for the DFT cell and can differ from measured ones.

Cell and atoms:
Lattice parameters (Å, degrees): 5.852 9.571 4.570 90.00 90.00 90.00
Space group Pnma (No. 62)
Unique sites:
Cr 0.040 0.250 0.038 (multiplicity 4)
O 0.056 0.116 0.831 (multiplicity 8)
O 0.228 0.750 0.782 (multiplicity 4)

Main lines, by intensity (2θ = 10–90°):
2θ (°), d_spacing, Rel. int., h k l
18.5, 4.786, 100, 0 2 0
24.7, 3.602, 96, 1 0 1
31.1, 2.878, 57, 1 2 1
34.3, 2.616, 24, 0 3 1
30.6, 2.926, 19, 2 0 0
51.8, 1.764, 15, 3 1 1
32.0, 2.798, 14, 2 1 0
54.4, 1.685, 13, 2 2 2

---

Entry 5:
HoMnO3: calculated XRD peak list (Cu Kα), based on a cell relaxed with PBE+U.
Peak positions follow from Bragg's law for the DFT cell and can differ from measured ones.

Cell and atoms:
Lattice parameters (Å, degrees): 10.872 5.612 12.544 90.00 90.00 90.00
Space group Cmc2_1 (No. 36)
Unique sites:
Ho 0.000 0.028 0.000 (multiplicity 4)
Ho 0.167 0.466 0.448 (multiplicity 8)
Mn 0.000 0.401 0.703 (multiplicity 4)
Mn 0.179 0.137 0.183 (multiplicity 8)
O 0.000 0.019 0.690 (multiplicity 4)
O 0.000 0.287 0.411 (multiplicity 4)
O 0.000 0.413 0.078 (multiplicity 4)
O 0.151 0.167 0.908 (multiplicity 8)
O 0.161 0.456 0.252 (multiplicity 8)
O 0.204 0.145 0.585 (multiplicity 8)

Main lines, by intensity (2θ = 10–90°):
2θ (°), d_spacing, Rel. int., h k l
32.7, 2.739, 100, 3 1 2
14.1, 6.272, 59, 0 0 2
28.5, 3.136, 37, 0 0 4
29.3, 3.044, 30, 3 1 0
41.3, 2.184, 25, 3 1 4
31.9, 2.806, 20, 0 2 0
35.0, 2.561, 19, 0 2 2
50.4, 1.812, 14, 6 0 0

---

Entry 6:
Ba2EuVO6: calculated XRD peak list (Cu Kα), based on a cell relaxed with PBE+U.
Peak positions follow from Bragg's law for the DFT cell and can differ from measured ones.

Cell and atoms:
Lattice parameters (Å, degrees): 8.433 8.433 8.433 90.00 90.00 90.00
Space group Fm-3m (No. 225)
Unique sites:
Ba 0.250 0.250 0.250 (multiplicity 8)
Eu 0.000 0.000 0.000 (multiplicity 4)
V 0.000 0.000 0.500 (multiplicity 4)
O 0.000 0.000 0.273 (multiplicity 24)

Main lines, by intensity (2θ = 10–90°):
2θ (°), d_spacing, Rel. int., h k l
30.0, 2.981, 100, 2 2 0
53.2, 1.721, 39, 4 2 2
42.9, 2.108, 30, 4 0 0
86.3, 1.127, 21, 6 4 2
62.3, 1.491, 18, 4 4 0
70.6, 1.333, 18, 6 2 0
18.2, 4.869, 8, 1 1 1
35.3, 2.543, 8, 3 1 1